Entry 1:
For Na2AsPH8O10, a crystal structure in the Materials Project, relaxed with PBE gives the simulated powder diffraction line list in this record (Cu Ka).

Main lines, low angle first (2θ from 10° to 90°):
- 13.61°, I = 100.0, (0 1 1)
- 18.93°, I = 74.0, (1 1 0)
- 21.77°, I = 42.6, (1 1 1)
- 22.86°, I = 62.8, (0 1 2)
- 26.39°, I = 91.8, (1 2 -1)
- 26.50°, I = 78.3, (1 2 1)
- 28.11°, I = 74.0, (0 3 1)
- 28.42°, I = 39.9, (1 1 -2)

Atomic structure:
```
data_Na2AsPH8O10
_chemical_formula_sum 'Na4 As2 P2 H16 O20'
_space_group_name_H-M_alt 'P 1 21 1'
_space_group_IT_number 4
_cell_length_a 5.2676
_cell_length_b 10.2863
_cell_length_c 8.4039
_cell_angle_alpha 90.00
_cell_angle_beta 90.46
_cell_angle_gamma 90.00
loop_
_space_group_symop_operation_xyz
'x,y,z'
'-x,y+1/2,-z'
loop_
_atom_site_label
_atom_site_fract_x
_atom_site_fract_y
_atom_site_fract_z
_atom_site_occupancy
Na1 0.1634 0.0000 0.0853 1
Na2 0.3259 0.3028 0.5881 1
As1 0.3311 0.7427 0.8082 1
P1 0.1628 0.5590 0.3069 1
H1 0.0652 0.3012 0.2580 1
H2 0.0945 0.2551 0.8749 1
H3 0.1996 0.9488 0.4445 1
H4 0.2067 0.6896 0.5097 1
H5 0.2995 0.3524 0.9422 1
H6 0.2996 0.6031 0.0195 1
H7 0.4058 0.0438 0.3777 1
H8 0.4592 0.0042 0.7602 1
O1 0.0034 0.2255 0.1892 1
O2 0.0666 0.5873 0.1381 1
O3 0.0734 0.6740 0.4200 1
O4 0.0835 0.4274 0.3755 1
O5 0.1685 0.3423 0.8582 1
O6 0.3281 0.9569 0.3607 1
O7 0.4263 0.8858 0.8875 1
O8 0.4313 0.6148 0.9318 1
O9 0.4341 0.7052 0.6231 1
O10 0.4660 0.5742 0.3116 1
```

***

Entry 2:
For Li10SnP2S12, a crystal structure in the Materials Project, relaxed with PBE gives the simulated powder diffraction line list in this record (Cu Ka).

Main lines, low angle first (2θ from 10° to 90°):
- 14.15°, I = 65.1, (1 1 0)
- 17.05°, I = 36.5, (1 0 2)
- 19.80°, I = 87.2, (1 1 2)
- 20.06°, I = 45.9, (2 0 0)
- 26.44°, I = 62.0, (2 1 2)
- 29.00°, I = 100.0, (2 0 3)
- 40.76°, I = 44.0, (4 0 0)
- 46.55°, I = 54.0, (3 2 4)

Atomic structure:
```
data_Li10SnP2S12
_chemical_formula_sum 'Li20 Sn2 P4 S24'
_space_group_name_H-M_alt 'P 42 m c'
_space_group_IT_number 105
_cell_length_a 8.8542
_cell_length_b 8.8542
_cell_length_c 12.8513
_cell_angle_alpha 90.00
_cell_angle_beta 90.00
_cell_angle_gamma 90.00
loop_
_space_group_symop_operation_xyz
'x,y,z'
'-y,x,z+1/2'
'-x,-y,z'
'y,-x,z+1/2'
'-x,y,z'
'y,x,z+1/2'
'x,-y,z'
'-y,-x,z+1/2'
loop_
_atom_site_label
_atom_site_fract_x
_atom_site_fract_y
_atom_site_fract_z
_atom_site_occupancy
Li1 0.0000 0.0000 0.0000 1
Li2 0.2246 0.2447 0.4891 1
Li3 0.2281 0.2737 0.7456 1
Li4 0.5000 0.5000 0.3915 1
Sn1 0.0000 0.0000 0.2526 1
P1 0.0000 0.5000 0.9549 1
P2 0.5000 0.5000 0.1369 1
S1 0.0000 0.2209 0.6438 1
S2 0.0000 0.2226 0.3614 1
S3 0.0000 0.3106 0.0469 1
S4 0.1932 0.5000 0.8643 1
S5 0.3070 0.5000 0.5459 1
S6 0.3099 0.5000 0.2283 1
```

***

Entry 3:
For CaSn2P2O9, a crystal structure in the Materials Project, relaxed with PBE gives the simulated powder diffraction line list in this record (Cu Ka).

Main lines, low angle first (2θ from 10° to 90°):
- 15.68°, I = 68.5, (2 0 1)
- 17.06°, I = 39.7, (0 1 1)
- 21.73°, I = 42.6, (0 0 2)
- 22.47°, I = 80.7, (1 0 2)
- 29.27°, I = 100.0, (1 2 1)
- 30.61°, I = 67.2, (5 0 1)
- 33.38°, I = 43.3, (1 0 3)
- 50.33°, I = 55.3, (4 0 4)

Atomic structure:
```
data_CaSn2P2O9
_chemical_formula_sum 'Ca4 Sn8 P8 O36'
_space_group_name_H-M_alt 'P n m a'
_space_group_IT_number 62
_cell_length_a 15.6306
_cell_length_b 6.7282
_cell_length_c 8.1815
_cell_angle_alpha 90.00
_cell_angle_beta 90.00
_cell_angle_gamma 90.00
loop_
_space_group_symop_operation_xyz
'x,y,z'
'-x,-y,-z'
'-x+1/2,-y,z+1/2'
'x+1/2,y,-z+1/2'
'x+1/2,-y+1/2,-z+1/2'
'-x+1/2,y+1/2,z+1/2'
'-x,y+1/2,-z'
'x,-y+1/2,z'
loop_
_atom_site_label
_atom_site_fract_x
_atom_site_fract_y
_atom_site_fract_z
_atom_site_occupancy
Ca1 0.2224 0.2500 0.0452 1
Sn1 0.0000 0.0000 0.0000 1
Sn2 0.1157 0.2500 0.6360 1
P1 0.0656 0.7500 0.6117 1
P2 0.2053 0.7500 0.1075 1
O1 0.0051 0.7500 0.4616 1
O2 0.0148 0.7500 0.7723 1
O3 0.0782 0.2500 0.8661 1
O4 0.1289 0.5689 0.5992 1
O5 0.1529 0.5573 0.0913 1
O6 0.2191 0.2500 0.4755 1
O7 0.2430 0.2500 0.7712 1
```

***

Question: What is the formula in the third record?
Answer: CaSn2P2O9